# 1
Diffraction record for AcCd3Ni. The powder diffraction line list is theoretical, not measured: it uses a crystal structure in Alexandria, relaxed with GGA-PBE and Cu Kα X-rays.

Crystal structure
Cell: 5.671 6.207 6.723 Å, 90.00 91.31 90.00°
Space group P2_1/m (No. 11)
Asymmetric unit:
Ac 0.152 0.250 0.137 [2 per cell]
Cd 0.122 0.750 0.370 [2 per cell]
Cd 0.359 0.012 0.695 [4 per cell]
Ni 0.352 0.750 0.025 [2 per cell]

Most intense lines, 15° ≤ 2θ ≤ 90°, by angle:
2θ/deg  d (Å)  Rel. int.  (hkl)
25.25  3.527  368  1 1 1
30.24  2.955  880  0 1 2
30.61  2.920  314  1 0 -2
31.76  2.818  314  0 2 1
32.90  2.722  666  1 2 0
33.92  2.642  546  1 1 -2
34.04  2.634  471  2 0 -1
34.62  2.591  726  2 0 1
35.44  2.533  524  1 2 -1
35.72  2.514  1000  1 2 1
37.08  2.424  546  2 1 -1
43.79  2.068  370  1 0 3

***

# 2
Diffraction record for Ac12CdNi6. The powder diffraction line list is theoretical, not measured: it uses a crystal structure in Alexandria, relaxed with GGA-PBE and Cu Kα X-rays.

Crystal structure
Cell: 10.690 10.690 10.690 Å, 90.00 90.00 90.00°
Space group Im-3 (No. 204)
Asymmetric unit:
Ac 0.000 0.312 0.182 [24 per cell]
Cd 0.000 0.000 0.000 [2 per cell]
Ni 0.000 0.118 0.500 [12 per cell]

Most intense lines, 15° ≤ 2θ ≤ 90°, by angle:
2θ/deg  d (Å)  Rel. int.  (hkl)
23.54  3.780  116  2 2 0
26.36  3.381  699  3 0 1
28.93  3.086  333  2 2 2
31.31  2.857  1000  3 1 2
43.15  2.097  212  5 0 1
49.73  1.833  448  5 3 0
51.28  1.782  179  6 0 0
52.79  1.734  367  5 2 3
61.32  1.512  161  5 4 3
74.22  1.278  180  6 5 3
75.46  1.260  194  6 6 0
76.68  1.243  178  8 3 1

***

# 3
Diffraction record for Ac6CdNi2. The powder diffraction line list is theoretical, not measured: it uses a crystal structure in Alexandria, relaxed with GGA-PBE and Cu Kα X-rays.

Crystal structure
Cell: 10.137 10.801 11.139 Å, 90.00 90.00 90.00°
Space group Immm (No. 71)
Asymmetric unit:
Ac 0.000 0.196 0.228 [8 per cell]
Ac 0.185 0.500 0.173 [8 per cell]
Ac 0.203 0.323 0.500 [8 per cell]
Cd 0.000 0.000 0.000 [2 per cell]
Cd 0.000 0.000 0.500 [2 per cell]
Ni 0.000 0.354 0.000 [4 per cell]
Ni 0.000 0.500 0.380 [4 per cell]

Most intense lines, 15° ≤ 2θ ≤ 90°, by angle:
2θ/deg  d (Å)  Rel. int.  (hkl)
23.74  3.749  223  2 0 2
25.37  3.511  247  0 1 3
26.01  3.426  320  0 3 1
27.66  3.226  467  3 1 0
29.00  3.079  1000  2 2 2
30.86  2.897  711  1 3 2
30.98  2.886  449  2 1 3
31.52  2.838  370  2 3 1
32.27  2.774  292  3 2 1
35.94  2.499  196  3 0 3
50.12  1.820  225  3 5 0
54.50  1.684  432  5 3 2

***

# 4
Diffraction record for AcCd10Ni2. The powder diffraction line list is theoretical, not measured: it uses a crystal structure in Alexandria, relaxed with GGA-PBE and Cu Kα X-rays.

Crystal structure
Cell: 5.565 14.159 14.312 Å, 90.00 90.00 90.00°
Space group Fmmm (No. 69)
Asymmetric unit:
Ac 0.000 0.000 0.000 [4 per cell]
Cd 0.000 0.103 0.382 [16 per cell]
Cd 0.000 0.161 0.183 [16 per cell]
Cd 0.250 0.250 0.000 [8 per cell]
Ni 0.250 0.000 0.250 [8 per cell]

Most intense lines, 15° ≤ 2θ ≤ 90°, by angle:
2θ/deg  d (Å)  Rel. int.  (hkl)
28.13  3.173  381  0 4 2
31.13  2.873  816  1 3 3
32.17  2.782  366  2 0 0
35.68  2.516  900  0 4 4
35.84  2.505  1000  1 1 5
36.14  2.485  682  1 5 1
36.91  2.435  879  2 2 2
40.25  2.241  270  0 6 2
41.10  2.196  248  2 0 4
41.27  2.187  397  2 4 0
64.59  1.443  240  1 9 3
64.91  1.437  327  2 6 6

***

What is the formula in the third record? Ac6CdNi2